Computed powder XRD pattern
Compound: Mg4In2Pb
Radiation: Cu Kα X-rays
Structure: a cell relaxed with GGA-PBE
Intensities are scaled so that the largest is 100.

Structural model:
```
data_Mg4In2Pb
_chemical_formula_sum 'Mg8 In4 Pb2'
_space_group_name_H-M_alt 'P 63/m m c'
_space_group_IT_number 194
_space_group_name_Hall '-P 6c 2c'
_cell_length_a 5.0873
_cell_length_b 5.0873
_cell_length_c 15.3979
_cell_angle_alpha 90.00
_cell_angle_beta 90.00
_cell_angle_gamma 120.00
loop_
_atom_site_label
_atom_site_type_symbol
_atom_site_fract_x
_atom_site_fract_y
_atom_site_fract_z
_atom_site_occupancy
Mg1 Mg 0.0000 0.0000 0.0000 1
Mg2 Mg 0.3333 0.6667 0.1437 1
Mg3 Mg 0.3333 0.6667 0.7500 1
In1 In 0.3333 0.6667 0.5565 1
Pb1 Pb 0.0000 0.0000 0.2500 1
```

Main lines, by intensity (2θ from 5° to 70°):
| h k l | 2theta | intensity |
| --- | --- | --- |
| 1 0 2 | 23.3 | 100 |
| 1 1 0 | 35.3 | 84 |
| 2 0 2 | 42.6 | 42 |
| 1 0 4 | 30.8 | 41 |
| 1 0 5 | 35.6 | 39 |
| 1 0 3 | 26.7 | 22 |
| 1 0 8 | 51.8 | 19 |
| 2 1 2 | 56.5 | 19 |
| 1 1 6 | 50.5 | 18 |
| 0 0 4 | 23.1 | 17 |
| 3 0 0 | 63.3 | 15 |
| 2 1 5 | 63.5 | 14 |

=====

Computed powder XRD pattern
Compound: BaZnPt2
Radiation: Cu Kα X-rays
Structure: a cell relaxed with GGA-PBE
Intensities are scaled so that the largest is 100.

Structural model:
```
data_BaZnPt2
_chemical_formula_sum 'Ba2 Zn2 Pt4'
_space_group_name_H-M_alt 'P -1'
_space_group_IT_number 2
_cell_length_a 5.2763
_cell_length_b 6.0089
_cell_length_c 7.1262
_cell_angle_alpha 70.10
_cell_angle_beta 74.41
_cell_angle_gamma 66.59
loop_
_space_group_symop_operation_xyz
'x,y,z'
'-x,-y,-z'
loop_
_atom_site_label
_atom_site_type_symbol
_atom_site_fract_x
_atom_site_fract_y
_atom_site_fract_z
_atom_site_occupancy
Ba1 Ba 0.1933 0.4417 0.2257 1
Zn1 Zn 0.4476 0.8463 0.3500 1
Pt1 Pt 0.1150 0.0046 0.6512 1
Pt2 Pt 0.2530 0.0030 0.9911 1
```

Main lines, by intensity (2θ from 5° to 70°):
| h k l | 2theta | intensity |
| --- | --- | --- |
| 0 1 0 | 16.7 | 100 |
| 0 2 0 | 33.7 | 42 |
| 0 1 3 | 39.9 | 36 |
| 2 1 2 | 38.1 | 32 |
| 2 1 -1 | 41.8 | 30 |
| -1 1 1 | 31.4 | 26 |
| 0 2 1 | 32.8 | 26 |
| 2 2 2 | 40.6 | 21 |
| 1 1 -1 | 28.2 | 20 |
| 2 0 -1 | 42.1 | 19 |
| 0 1 -2 | 35.5 | 19 |
| 1 2 0 | 32.5 | 18 |

=====

Computed powder XRD pattern
Compound: Sr2SmGaCu2O7
Radiation: Cu Kα X-rays
Structure: a cell relaxed with GGA-PBE
Intensities are scaled so that the largest is 100.

Structural model:
```
data_Sr2SmGaCu2O7
_chemical_formula_sum 'Sr8 Sm4 Ga4 Cu8 O28'
_space_group_name_H-M_alt 'I m a 2'
_space_group_IT_number 46
_cell_length_a 23.2931
_cell_length_b 5.5627
_cell_length_c 5.4439
_cell_angle_alpha 90.00
_cell_angle_beta 90.00
_cell_angle_gamma 90.00
loop_
_space_group_symop_operation_xyz
'x,y,z'
'-x,-y,z'
'-x+1/2,y,z'
'x+1/2,-y,z'
'x+1/2,y+1/2,z+1/2'
'-x+1/2,-y+1/2,z+1/2'
'-x,y+1/2,z+1/2'
'x,-y+1/2,z+1/2'
loop_
_atom_site_label
_atom_site_type_symbol
_atom_site_fract_x
_atom_site_fract_y
_atom_site_fract_z
_atom_site_occupancy
Sr1 Sr 0.1523 0.0188 0.0000 1
Sm1 Sm 0.0000 0.0000 0.9968 1
Ga1 Ga 0.2500 0.5700 0.0344 1
Cu1 Cu 0.0739 0.5012 0.9964 1
O1 O 0.0639 0.2478 0.7482 1
O2 O 0.0660 0.7492 0.7454 1
O3 O 0.1773 0.0467 0.4683 1
O4 O 0.2500 0.6185 0.3845 1
```

Main lines, by intensity (2θ from 5° to 70°):
| h k l | 2theta | intensity |
| --- | --- | --- |
| 6 1 1 | 32.6 | 100 |
| 2 0 0 | 7.6 | 38 |
| 0 2 2 | 46.7 | 30 |
| 0 0 2 | 32.9 | 29 |
| 0 2 0 | 32.2 | 27 |
| 8 1 1 | 38.6 | 25 |
| 6 1 3 | 58.6 | 19 |
| 6 3 1 | 57.6 | 17 |
| 12 0 0 | 46.8 | 9 |
| 12 2 2 | 68.3 | 9 |
| 12 0 2 | 58.4 | 7 |
| 2 1 1 | 24.1 | 7 |